Starting from DFT lattice parameters and positions (PBE), the X-ray diffraction stick pattern of Zr4InAu3 was simulated for a wavelength of 1.5418 Å.
Kinematic intensities with the Lorentz-polarization factor, no thermal factor.

Largest 10 diffraction maxima, in order of rising 2θ, 10° ≤ 2θ ≤ 90°:
- hkl 0 0 2, 2θ = 21.3°, I = 8
- hkl 1 1 0, 2θ = 28.5°, I = 9
- hkl 1 1 2, 2θ = 35.9°, I = 100
- hkl 2 0 0, 2θ = 40.8°, I = 35
- hkl 0 0 4, 2θ = 43.3°, I = 15
- hkl 2 2 0, 2θ = 59.1°, I = 12
- hkl 2 0 4, 2θ = 61.0°, I = 21
- hkl 3 1 2, 2θ = 71.1°, I = 27
- hkl 1 1 6, 2θ = 74.6°, I = 11
- hkl 2 2 4, 2θ = 76.0°, I = 11

Crystal structure
```
data_Zr4InAu3
_chemical_formula_sum 'Zr4 In1 Au3'
_symmetry_space_group_name_H-M 'P 4/m m m'
_symmetry_Int_Tables_number 123
_symmetry_space_group_name_Hall '-P 4 2'
_cell_length_a 4.422
_cell_length_b 4.422
_cell_length_c 8.355
_cell_angle_alpha 90.00
_cell_angle_beta 90.00
_cell_angle_gamma 90.00
loop_
_atom_site_label
_atom_site_fract_x
_atom_site_fract_y
_atom_site_fract_z
Zr1 0.000 0.500 0.242
In1 0.000 0.000 0.500
Au1 0.000 0.000 0.000
Au2 0.500 0.500 0.000
Au3 0.500 0.500 0.500
```


Starting from DFT lattice parameters and positions (PBE), the X-ray diffraction stick pattern of NaPa2Nb3N8 was simulated for a wavelength of 1.5418 Å.
Kinematic intensities with the Lorentz-polarization factor, no thermal factor.

Largest 10 diffraction maxima, in order of rising 2θ, 10° ≤ 2θ ≤ 90°:
- hkl 1 0 1, 2θ = 16.8°, I = 33
- hkl 0 1 2, 2θ = 19.1°, I = 36
- hkl 1 1 0, 2θ = 27.7°, I = 34
- hkl 0 1 5, 2θ = 31.2°, I = 40
- hkl 1 1 3, 2θ = 32.1°, I = 100
- hkl 2 0 2, 2θ = 33.9°, I = 26
- hkl 1 2 5, 2θ = 51.3°, I = 25
- hkl 0 3 3, 2θ = 51.8°, I = 24
- hkl 2 0 8, 2θ = 55.0°, I = 24
- hkl 2 2 0, 2θ = 57.2°, I = 21

Crystal structure
```
data_NaPa2Nb3N8
_chemical_formula_sum 'Na3 Pa6 Nb9 N24'
_symmetry_space_group_name_H-M 'R 3 m'
_symmetry_Int_Tables_number 160
_symmetry_space_group_name_Hall 'R 3 -2"'
_cell_length_a 6.4411
_cell_length_b 6.4411
_cell_length_c 16.6816
_cell_angle_alpha 90.00
_cell_angle_beta 90.00
_cell_angle_gamma 120.00
loop_
_atom_site_label
_atom_site_fract_x
_atom_site_fract_y
_atom_site_fract_z
Na1 0.0000 0.0000 0.0000
Pa1 0.0000 0.0000 0.3750
Pa2 0.0000 0.0000 0.7449
Nb1 0.0174 0.5087 0.8767
N1 0.0000 0.0000 0.1420
N2 0.0000 0.0000 0.6133
N3 0.0265 0.5133 0.1320
N4 0.1897 0.3795 0.9483
```


Starting from DFT lattice parameters and positions (PBE), the X-ray diffraction stick pattern of SrYTcN3 was simulated for a wavelength of 1.5418 Å.
Kinematic intensities with the Lorentz-polarization factor, no thermal factor.

Largest 10 diffraction maxima, in order of rising 2θ, 10° ≤ 2θ ≤ 90°:
- hkl 1 0 -1, 2θ = 15.0°, I = 83
- hkl 1 0 -3, 2θ = 29.6°, I = 29
- hkl 2 0 -2, 2θ = 30.3°, I = 56
- hkl 1 1 1, 2θ = 32.2°, I = 100
- hkl 0 1 2, 2θ = 32.4°, I = 24
- hkl 1 1 -2, 2θ = 33.3°, I = 55
- hkl 2 0 2, 2θ = 39.3°, I = 24
- hkl 1 1 -3, 2θ = 39.4°, I = 54
- hkl 3 1 -1, 2θ = 49.7°, I = 44
- hkl 0 2 0, 2θ = 52.2°, I = 25

Crystal structure
```
data_SrYTcN3
_chemical_formula_sum 'Sr2 Y2 Tc2 N6'
_symmetry_space_group_name_H-M 'P 1 21/m 1'
_symmetry_Int_Tables_number 11
_cell_length_a 6.461
_cell_length_b 3.503
_cell_length_c 9.285
_cell_angle_alpha 90.00
_cell_angle_beta 105.19
_cell_angle_gamma 90.00
loop_
_symmetry_equiv_pos_as_xyz
'x,y,z'
'-x,-y,-z'
'-x,y+1/2,-z'
'x,-y+1/2,z'
loop_
_atom_site_label
_atom_site_fract_x
_atom_site_fract_y
_atom_site_fract_z
Sr1 0.169 0.250 0.190
Y1 0.353 0.250 0.861
Tc1 0.138 0.750 0.577
N1 0.008 0.250 0.652
N2 0.285 0.750 0.010
N3 0.410 0.750 0.682
```


Starting from DFT lattice parameters and positions (PBE), the X-ray diffraction stick pattern of BP3RhC was simulated for a wavelength of 1.5418 Å.
Kinematic intensities with the Lorentz-polarization factor, no thermal factor.

Largest 10 diffraction maxima, in order of rising 2θ, 10° ≤ 2θ ≤ 90°:
- hkl 0 0 1, 2θ = 17.7°, I = 54
- hkl 0 1 0, 2θ = 21.2°, I = 74
- hkl 0 1 -1, 2θ = 22.6°, I = 100
- hkl 1 -1 0, 2θ = 31.1°, I = 33
- hkl 1 0 1, 2θ = 33.6°, I = 50
- hkl 1 1 0, 2θ = 34.3°, I = 54
- hkl 0 1 -2, 2θ = 35.0°, I = 45
- hkl -1 1 1, 2θ = 37.0°, I = 54
- hkl 1 0 -2, 2θ = 39.2°, I = 29
- hkl 2 -1 0, 2θ = 53.2°, I = 28

Crystal structure
```
data_BP3RhC
_chemical_formula_sum 'B1 P3 Rh1 C1'
_symmetry_space_group_name_H-M 'P 1'
_symmetry_Int_Tables_number 1
_cell_length_a 3.704
_cell_length_b 4.453
_cell_length_c 5.415
_cell_angle_alpha 109.08
_cell_angle_beta 101.22
_cell_angle_gamma 91.55
loop_
_symmetry_equiv_pos_as_xyz
'x,y,z'
loop_
_atom_site_label
_atom_site_fract_x
_atom_site_fract_y
_atom_site_fract_z
B1 0.000 0.000 0.000
P1 0.253 0.746 0.730
P2 0.733 0.685 0.107
P3 0.928 0.281 0.612
Rh1 0.320 0.943 0.397
C1 0.891 0.302 0.945
```


Starting from DFT lattice parameters and positions (PBE), the X-ray diffraction stick pattern of Y8CdCo2 was simulated for a wavelength of 1.5418 Å.
Kinematic intensities with the Lorentz-polarization factor, no thermal factor.

Largest 10 diffraction maxima, in order of rising 2θ, 10° ≤ 2θ ≤ 90°:
- hkl 1 3 -1, 2θ = 27.1°, I = 32
- hkl 2 0 1, 2θ = 30.1°, I = 69
- hkl 0 4 1, 2θ = 32.1°, I = 100
- hkl 3 1 -1, 2θ = 33.4°, I = 69
- hkl 0 0 2, 2θ = 34.3°, I = 69
- hkl 2 4 0, 2θ = 34.5°, I = 73
- hkl 3 3 0, 2θ = 38.0°, I = 46
- hkl 1 5 -1, 2θ = 38.6°, I = 29
- hkl 2 4 2, 2θ = 53.0°, I = 30
- hkl 2 8 1, 2θ = 64.6°, I = 29

Crystal structure
```
data_Y8CdCo2
_chemical_formula_sum 'Y16 Cd2 Co4'
_symmetry_space_group_name_H-M 'C 1 2/m 1'
_symmetry_Int_Tables_number 12
_cell_length_a 8.643
_cell_length_b 13.198
_cell_length_c 5.360
_cell_angle_alpha 90.00
_cell_angle_beta 102.95
_cell_angle_gamma 90.00
loop_
_symmetry_equiv_pos_as_xyz
'x,y,z'
'-x,-y,-z'
'-x,y,-z'
'x,-y,z'
'x+1/2,y+1/2,z'
'-x+1/2,-y+1/2,-z'
'-x+1/2,y+1/2,-z'
'x+1/2,-y+1/2,z'
loop_
_atom_site_label
_atom_site_fract_x
_atom_site_fract_y
_atom_site_fract_z
Y1 0.000 0.250 0.000
Y2 0.115 0.000 0.802
Y3 0.199 0.368 0.575
Cd1 0.000 0.500 0.000
Co1 0.000 0.192 0.500
```


Starting from DFT lattice parameters and positions (PBE), the X-ray diffraction stick pattern of Ac3Ni2Os was simulated for a wavelength of 1.5418 Å.
Kinematic intensities with the Lorentz-polarization factor, no thermal factor.

Largest 10 diffraction maxima, in order of rising 2θ, 10° ≤ 2θ ≤ 90°:
- hkl 2 1 1, 2θ = 26.5°, I = 35
- hkl 2 1 2, 2θ = 29.3°, I = 47
- hkl 1 0 4, 2θ = 29.6°, I = 39
- hkl 4 0 1, 2θ = 29.8°, I = 41
- hkl 0 1 3, 2θ = 30.1°, I = 100
- hkl 3 1 2, 2θ = 33.6°, I = 70
- hkl 4 1 1, 2θ = 36.7°, I = 35
- hkl 2 1 4, 2θ = 38.7°, I = 41
- hkl 2 0 5, 2θ = 39.0°, I = 32
- hkl 0 2 0, 2θ = 42.6°, I = 50

Crystal structure
```
data_Ac3Ni2Os
_chemical_formula_sum 'Ac12 Ni8 Os4'
_symmetry_space_group_name_H-M 'P n m a'
_symmetry_Int_Tables_number 62
_cell_length_a 12.346
_cell_length_b 4.242
_cell_length_c 12.453
_cell_angle_alpha 90.00
_cell_angle_beta 90.00
_cell_angle_gamma 90.00
loop_
_symmetry_equiv_pos_as_xyz
'x,y,z'
'-x,-y,-z'
'-x+1/2,-y,z+1/2'
'x+1/2,y,-z+1/2'
'x+1/2,-y+1/2,-z+1/2'
'-x+1/2,y+1/2,z+1/2'
'-x,y+1/2,-z'
'x,-y+1/2,z'
loop_
_atom_site_label
_atom_site_fract_x
_atom_site_fract_y
_atom_site_fract_z
Ac1 0.067 0.250 0.122
Ac2 0.118 0.750 0.557
Ac3 0.202 0.250 0.807
Ni1 0.041 0.750 0.315
Ni2 0.198 0.750 0.982
Os1 0.125 0.250 0.367
```